No. 1
For Na2CuAgSn4, DFT lattice parameters and positions (PBE) gives the simulated X-ray powder pattern in this record (a wavelength of 1.5418 Å).

Cell and atoms:
Cell lengths 4.522, 7.679, 6.059 Å; angles 90.00, 111.78, 90.00 degrees
Space group Pm (No. 6)
Asymmetric unit:
Na (0.000, 0.000, 0.000) [1 per cell]
Na (0.138, 0.500, 0.271) [1 per cell]
Cu (0.278, 0.000, 0.551) [1 per cell]
Ag (0.860, 0.500, 0.720) [1 per cell]
Sn (0.426, 0.289, 0.852) [2 per cell]
Sn (0.709, 0.195, 0.413) [2 per cell]

Largest 10 diffraction maxima, sorted by position, 2θ from 10° to 90°:
2θ (°), Rel. int., h k l
15.7, 50, 0 0 1
19.6, 50, 0 1 1
21.2, 51, 1 0 -1
31.0, 40, 1 0 1
31.6, 100, 1 2 -1
33.1, 43, 1 1 1
39.0, 100, 1 2 1
39.7, 44, 0 2 2
39.9, 55, 2 0 -1
41.3, 75, 1 3 0

=====

No. 2
For Na4CuAgSn2, DFT lattice parameters and positions (PBE) gives the simulated X-ray powder pattern in this record (a wavelength of 1.5418 Å).

Cell and atoms:
Cell lengths 4.938, 4.938, 7.049 Å; angles 90.00, 90.00, 90.00 degrees
Space group P-4m2 (No. 115)
Asymmetric unit:
Na (0.000, 0.000, 0.000) [1 per cell]
Na (0.000, 0.500, 0.245) [2 per cell]
Na (0.500, 0.500, 0.500) [1 per cell]
Cu (0.500, 0.500, 0.000) [1 per cell]
Ag (0.000, 0.000, 0.500) [1 per cell]
Sn (0.000, 0.500, 0.761) [2 per cell]

Largest 10 diffraction maxima, sorted by position, 2θ from 10° to 90°:
2θ (°), Rel. int., h k l
22.0, 71, 1 0 1
36.2, 100, 1 1 2
36.4, 50, 2 0 0
42.6, 13, 1 0 3
42.9, 26, 2 1 1
52.4, 17, 2 2 0
57.3, 11, 2 1 3
65.0, 17, 2 0 4
65.4, 34, 3 1 2
76.9, 10, 2 2 4

=====

No. 3
For Nb2CuAgS4, DFT lattice parameters and positions (PBE) gives the simulated X-ray powder pattern in this record (a wavelength of 1.5418 Å).

Cell and atoms:
Cell lengths 3.3515, 3.3515, 15.3886 Å; angles 90.00, 90.00, 120.00 degrees
Space group P-3m1 (No. 164)
Asymmetric unit:
Nb (0.3333, 0.6667, 0.2577) [2 per cell]
Cu (0.0000, 0.0000, 0.5000) [1 per cell]
Ag (0.0000, 0.0000, 0.0000) [1 per cell]
S (0.0000, 0.0000, 0.1567) [2 per cell]
S (0.0000, 0.0000, 0.3595) [2 per cell]

Largest 10 diffraction maxima, sorted by position, 2θ from 10° to 90°:
2θ (°), Rel. int., h k l
23.1, 47, 0 0 4
30.8, 51, 1 0 0
31.4, 58, 0 1 1
33.0, 99, 1 0 2
35.5, 38, 1 0 3
42.8, 29, 0 1 5
47.3, 100, 1 0 6
54.8, 48, 1 1 0
60.2, 21, 1 1 4
75.2, 43, 0 2 6